1.
This entry pairs a crystal structure of Nd2HgC with its simulated X-ray diffraction stick pattern. Radiation: copper Kα. Structure: a cell relaxed with GGA-PBE.
Lines closer than 0.1° are merged.

Largest 10 diffraction maxima, in order of rising 2θ, 10° ≤ 2θ ≤ 90°:
d_spacing	2θ/deg	I/Imax	hkl
3.188	27.99	36	1 0 1
3.112	28.69	25	0 1 2
2.853	31.36	100	1 0 4
2.749	32.57	44	0 0 9
2.696	33.23	99	0 1 5
1.856	49.08	46	1 1 0
1.638	56.16	20	1 0 13
1.549	59.70	17	0 1 14
1.538	60.15	46	1 1 9
1.529	60.56	18	2 0 5

Structure:
```
data_Nd2HgC
_chemical_formula_sum 'Nd6 Hg3 C3'
_symmetry_space_group_name_H-M 'R 3 m'
_symmetry_Int_Tables_number 160
_symmetry_space_group_name_Hall 'R 3 -2"'
_cell_length_a 3.7124
_cell_length_b 3.7124
_cell_length_c 24.7427
_cell_angle_alpha 90.00
_cell_angle_beta 90.00
_cell_angle_gamma 120.00
loop_
_atom_site_label
_atom_site_type_symbol
_atom_site_fract_x
_atom_site_fract_y
_atom_site_fract_z
Nd1 Nd 0.0000 0.0000 0.0000
Nd2 Nd 0.0000 0.0000 0.2174
Hg1 Hg 0.0000 0.0000 0.7749
C1 C 0.0000 0.0000 0.6092
```

=====

2.
This entry pairs a crystal structure of Nd4HgC with its simulated X-ray diffraction stick pattern. Radiation: copper Kα. Structure: a cell relaxed with GGA-PBE.
Lines closer than 0.1° are merged.

Largest 10 diffraction maxima, in order of rising 2θ, 10° ≤ 2θ ≤ 90°:
d_spacing	2θ/deg	I/Imax	hkl
3.280	27.19	21	0 2 2
3.014	29.64	73	1 5 0
2.886	30.99	66	1 1 2
2.790	32.08	17	0 4 2
2.770	32.32	39	1 5 1
2.636	34.01	100	2 0 0
2.308	39.03	13	0 6 2
2.054	44.09	12	2 2 2
1.922	47.30	14	0 8 2
1.553	59.53	15	2 8 2

Structure:
```
data_Nd4HgC
_chemical_formula_sum 'Nd16 Hg4 C4'
_symmetry_space_group_name_H-M 'C m c 21'
_symmetry_Int_Tables_number 36
_cell_length_a 5.2693
_cell_length_b 18.3762
_cell_length_c 7.0223
_cell_angle_alpha 90.00
_cell_angle_beta 90.00
_cell_angle_gamma 90.00
loop_
_symmetry_equiv_pos_as_xyz
'x,y,z'
'-x,-y,z+1/2'
'-x,y,z'
'x,-y,z+1/2'
'x+1/2,y+1/2,z'
'-x+1/2,-y+1/2,z+1/2'
'-x+1/2,y+1/2,z'
'x+1/2,-y+1/2,z+1/2'
loop_
_atom_site_label
_atom_site_type_symbol
_atom_site_fract_x
_atom_site_fract_y
_atom_site_fract_z
Nd1 Nd 0.0000 0.0298 0.0000
Nd2 Nd 0.0000 0.1737 0.3855
Nd3 Nd 0.0000 0.1972 0.8791
Nd4 Nd 0.0000 0.4144 0.1427
Hg1 Hg 0.0000 0.3732 0.6358
C1 C 0.0000 0.0917 0.6604
```

=====

3.
This entry pairs a crystal structure of Nd3ThHg2C with its simulated X-ray diffraction stick pattern. Radiation: copper Kα. Structure: a cell relaxed with GGA-PBE.
Lines closer than 0.1° are merged.

Largest 10 diffraction maxima, in order of rising 2θ, 10° ≤ 2θ ≤ 90°:
d_spacing	2θ/deg	I/Imax	hkl
7.684	11.52	15	0 0 2
3.615	24.62	15	1 1 0
3.271	27.26	61	1 1 2
2.633	34.06	100	1 1 4
2.583	34.73	33	0 2 0
2.561	35.04	15	0 0 6
2.531	35.47	31	2 0 0
1.808	50.49	23	2 2 0
1.501	61.81	20	1 3 4
1.480	62.79	18	3 1 4

Structure:
```
data_Nd3ThHg2C
_chemical_formula_sum 'Nd6 Th2 Hg4 C2'
_symmetry_space_group_name_H-M 'I m m m'
_symmetry_Int_Tables_number 71
_symmetry_space_group_name_Hall '-I 2 2'
_cell_length_a 5.0614
_cell_length_b 5.1663
_cell_length_c 15.3672
_cell_angle_alpha 90.00
_cell_angle_beta 90.00
_cell_angle_gamma 90.00
loop_
_atom_site_label
_atom_site_type_symbol
_atom_site_fract_x
_atom_site_fract_y
_atom_site_fract_z
Nd1 Nd 0.0000 0.0000 0.0000
Nd2 Nd 0.0000 0.5000 0.1698
Th1 Th 0.0000 0.0000 0.5000
Hg1 Hg 0.0000 0.5000 0.3699
C1 C 0.0000 0.5000 0.0000
```

=====

4.
This entry pairs a crystal structure of NiHgC with its simulated X-ray diffraction stick pattern. Radiation: copper Kα. Structure: a cell relaxed with GGA-PBE.
Lines closer than 0.1° are merged.

Largest 10 diffraction maxima, in order of rising 2θ, 10° ≤ 2θ ≤ 90°:
d_spacing	2θ/deg	I/Imax	hkl
5.329	16.63	50	0 0 1
2.665	33.63	38	0 0 2
2.597	34.53	22	1 1 0
2.493	36.02	100	1 1 -1
2.202	40.98	42	1 1 1
2.176	41.49	21	2 0 -2
2.026	44.73	13	1 1 -2
1.587	58.12	15	1 1 -3
1.512	61.33	15	3 1 -1
1.321	71.42	17	0 2 2

Structure:
```
data_NiHgC
_chemical_formula_sum 'Ni2 Hg2 C2'
_symmetry_space_group_name_H-M 'C 1 m 1'
_symmetry_Int_Tables_number 8
_cell_length_a 5.2251
_cell_length_b 3.0438
_cell_length_c 5.5897
_cell_angle_alpha 90.00
_cell_angle_beta 107.56
_cell_angle_gamma 90.00
loop_
_symmetry_equiv_pos_as_xyz
'x,y,z'
'x,-y,z'
'x+1/2,y+1/2,z'
'x+1/2,-y+1/2,z'
loop_
_atom_site_label
_atom_site_type_symbol
_atom_site_fract_x
_atom_site_fract_y
_atom_site_fract_z
Ni1 Ni 0.0000 0.0000 0.0000
Hg1 Hg 0.4780 0.0000 0.4385
C1 C 0.1222 0.5000 0.8688
```

=====

5.
This entry pairs a crystal structure of NiHgC2 with its simulated X-ray diffraction stick pattern. Radiation: copper Kα. Structure: a cell relaxed with GGA-PBE.
Lines closer than 0.1° are merged.

Largest 10 diffraction maxima, in order of rising 2θ, 10° ≤ 2θ ≤ 90°:
d_spacing	2θ/deg	I/Imax	hkl
4.305	20.63	32	1 0 1
2.752	32.54	100	1 1 2
2.577	34.81	12	1 0 3
2.443	36.78	32	2 0 0
2.275	39.61	13	0 0 4
2.125	42.54	14	2 1 1
1.728	53.00	13	2 2 0
1.665	55.16	24	2 0 4
1.463	63.58	29	3 1 2
1.389	67.43	12	1 1 6

Structure:
```
data_NiHgC2
_chemical_formula_sum 'Ni4 Hg4 C8'
_symmetry_space_group_name_H-M 'I -4 2 d'
_symmetry_Int_Tables_number 122
_symmetry_space_group_name_Hall 'I -4 2bw'
_cell_length_a 4.8869
_cell_length_b 4.8869
_cell_length_c 9.1007
_cell_angle_alpha 90.00
_cell_angle_beta 90.00
_cell_angle_gamma 90.00
loop_
_atom_site_label
_atom_site_type_symbol
_atom_site_fract_x
_atom_site_fract_y
_atom_site_fract_z
Ni1 Ni 0.0000 0.0000 0.0000
Hg1 Hg 0.0000 0.0000 0.5000
C1 C 0.1625 0.2500 0.1250
```

=====

6.
This entry pairs a crystal structure of Y2NiHgC with its simulated X-ray diffraction stick pattern. Radiation: copper Kα. Structure: a cell relaxed with GGA-PBE.
Lines closer than 0.1° are merged.

Largest 10 diffraction maxima, in order of rising 2θ, 10° ≤ 2θ ≤ 90°:
d_spacing	2θ/deg	I/Imax	hkl
5.065	17.51	19	1 0 0
3.009	29.69	17	1 0 1
2.587	34.68	100	1 1 1
2.532	35.45	52	2 0 0
1.937	46.90	10	2 1 1
1.870	48.69	10	0 0 2
1.791	51.00	18	2 2 0
1.504	61.66	20	2 0 2
1.472	63.15	35	3 1 1
1.293	73.18	12	2 2 2

Structure:
```
data_Y2NiHgC
_chemical_formula_sum 'Y2 Ni1 Hg1 C1'
_symmetry_space_group_name_H-M 'P 4/m m m'
_symmetry_Int_Tables_number 123
_symmetry_space_group_name_Hall '-P 4 2'
_cell_length_a 5.0645
_cell_length_b 5.0645
_cell_length_c 3.7399
_cell_angle_alpha 90.00
_cell_angle_beta 90.00
_cell_angle_gamma 90.00
loop_
_atom_site_label
_atom_site_type_symbol
_atom_site_fract_x
_atom_site_fract_y
_atom_site_fract_z
Y1 Y 0.0000 0.5000 0.0000
Ni1 Ni 0.0000 0.0000 0.5000
Hg1 Hg 0.5000 0.5000 0.5000
C1 C 0.0000 0.0000 0.0000
```

=====

7.
This entry pairs a crystal structure of Hg3CO3 with its simulated X-ray diffraction stick pattern. Radiation: copper Kα. Structure: a cell relaxed with GGA-PBE.
Lines closer than 0.1° are merged.

Largest 10 diffraction maxima, in order of rising 2θ, 10° ≤ 2θ ≤ 90°:
d_spacing	2θ/deg	I/Imax	hkl
4.489	19.78	55	1 0 1
3.330	26.77	55	0 0 2
3.038	29.40	27	2 0 0
2.764	32.39	100	2 0 1
2.297	39.22	24	2 1 0
2.244	40.18	24	2 0 2
1.891	48.13	27	2 1 2
1.793	50.95	29	2 0 3
1.552	59.57	18	2 2 2
1.365	68.80	14	3 2 1

Structure:
```
data_Hg3CO3
_chemical_formula_sum 'Hg6 C2 O6'
_symmetry_space_group_name_H-M 'P 63/m m c'
_symmetry_Int_Tables_number 194
_symmetry_space_group_name_Hall '-P 6c 2c'
_cell_length_a 7.0167
_cell_length_b 7.0167
_cell_length_c 6.6601
_cell_angle_alpha 90.00
_cell_angle_beta 90.00
_cell_angle_gamma 120.00
loop_
_atom_site_label
_atom_site_type_symbol
_atom_site_fract_x
_atom_site_fract_y
_atom_site_fract_z
Hg1 Hg 0.1894 0.3788 0.2500
C1 C 0.3333 0.6667 0.7500
O1 O 0.2265 0.4530 0.7500
```

=====

8.
This entry pairs a crystal structure of HgC2O with its simulated X-ray diffraction stick pattern. Radiation: copper Kα. Structure: a cell relaxed with GGA-PBE.
Lines closer than 0.1° are merged.

Largest 10 diffraction maxima, in order of rising 2θ, 10° ≤ 2θ ≤ 90°:
d_spacing	2θ/deg	I/Imax	hkl
4.228	21.01	98	1 0 1
2.685	33.37	100	1 1 2
2.474	36.32	31	1 0 3
2.425	37.07	32	2 0 0
2.104	42.99	39	2 1 1
1.732	52.86	19	2 1 3
1.715	53.42	14	2 2 0
1.612	57.15	24	2 0 4
1.445	64.47	29	3 1 2
1.326	71.09	11	1 1 6

Structure:
```
data_HgC2O
_chemical_formula_sum 'Hg4 C8 O4'
_symmetry_space_group_name_H-M 'I -4 2 d'
_symmetry_Int_Tables_number 122
_symmetry_space_group_name_Hall 'I -4 2bw'
_cell_length_a 4.8508
_cell_length_b 4.8508
_cell_length_c 8.6274
_cell_angle_alpha 90.00
_cell_angle_beta 90.00
_cell_angle_gamma 90.00
loop_
_atom_site_label
_atom_site_type_symbol
_atom_site_fract_x
_atom_site_fract_y
_atom_site_fract_z
Hg1 Hg 0.0000 0.0000 0.0000
C1 C 0.1755 0.2500 0.6250
O1 O 0.0000 0.0000 0.5000
```

=====

9.
This entry pairs a crystal structure of HgCO3 with its simulated X-ray diffraction stick pattern. Radiation: copper Kα. Structure: a cell relaxed with GGA-PBE.
Lines closer than 0.1° are merged.

Largest 10 diffraction maxima, in order of rising 2θ, 10° ≤ 2θ ≤ 90°:
d_spacing	2θ/deg	I/Imax	hkl
6.347	13.95	81	0 0 1
5.151	17.22	41	0 1 1
4.407	20.15	54	0 2 0
3.620	24.59	100	0 2 1
3.428	26.00	54	1 1 0
3.383	26.35	56	1 1 -1
2.986	29.93	45	0 1 2
2.747	32.59	32	1 1 1
2.306	39.06	27	1 3 0
2.059	43.98	30	0 1 3

Structure:
```
data_HgCO3
_chemical_formula_sum 'Hg2 C2 O6'
_symmetry_space_group_name_H-M 'P 1 21/m 1'
_symmetry_Int_Tables_number 11
_cell_length_a 3.8596
_cell_length_b 8.8147
_cell_length_c 6.5846
_cell_angle_alpha 90.00
_cell_angle_beta 105.44
_cell_angle_gamma 90.00
loop_
_symmetry_equiv_pos_as_xyz
'x,y,z'
'-x,-y,-z'
'-x,y+1/2,-z'
'x,-y+1/2,z'
loop_
_atom_site_label
_atom_site_type_symbol
_atom_site_fract_x
_atom_site_fract_y
_atom_site_fract_z
Hg1 Hg 0.2463 0.2500 0.0722
C1 C 0.0000 0.0000 0.5000
O1 O 0.1233 0.5673 0.3816
O2 O 0.2153 0.7500 0.8426
```

=====

10.
This entry pairs a crystal structure of HgP2CO with its simulated X-ray diffraction stick pattern. Radiation: copper Kα. Structure: a cell relaxed with GGA-PBE.
Lines closer than 0.1° are merged.

Largest 10 diffraction maxima, in order of rising 2θ, 10° ≤ 2θ ≤ 90°:
d_spacing	2θ/deg	I/Imax	hkl
4.472	19.85	100	1 0 0
3.300	27.02	17	0 0 1
3.162	28.22	42	1 1 0
2.655	33.76	73	1 0 1
2.283	39.47	90	1 1 1
2.236	40.33	49	2 0 0
2.000	45.34	27	2 1 0
1.710	53.58	41	2 1 1
1.328	71.00	18	2 0 2
1.300	72.75	30	3 1 1

Structure:
```
data_HgP2CO
_chemical_formula_sum 'Hg1 P2 C1 O1'
_symmetry_space_group_name_H-M 'P 4/m m m'
_symmetry_Int_Tables_number 123
_symmetry_space_group_name_Hall '-P 4 2'
_cell_length_a 4.4723
_cell_length_b 4.4723
_cell_length_c 3.2995
_cell_angle_alpha 90.00
_cell_angle_beta 90.00
_cell_angle_gamma 90.00
loop_
_atom_site_label
_atom_site_type_symbol
_atom_site_fract_x
_atom_site_fract_y
_atom_site_fract_z
Hg1 Hg 0.0000 0.0000 0.0000
P1 P 0.0000 0.5000 0.5000
C1 C 0.5000 0.5000 0.5000
O1 O 0.5000 0.5000 0.0000
```

=====

11.
This entry pairs a crystal structure of HgPdC2O6 with its simulated X-ray diffraction stick pattern. Radiation: copper Kα. Structure: a cell relaxed with GGA-PBE.
Lines closer than 0.1° are merged.

Largest 10 diffraction maxima, in order of rising 2θ, 10° ≤ 2θ ≤ 90°:
d_spacing	2θ/deg	I/Imax	hkl
4.195	21.18	13	1 0 1
3.842	23.15	90	0 1 2
2.997	29.81	100	1 0 4
2.503	35.88	40	1 1 0
2.097	43.13	29	2 0 2
1.921	47.31	19	0 2 4
1.871	48.66	24	0 1 8
1.856	49.09	40	2 -1 6
1.608	57.31	24	3 -2 2
1.524	60.77	19	3 -1 4

Structure:
```
data_HgPdC2O6
_chemical_formula_sum 'Hg3 Pd3 C6 O18'
_symmetry_space_group_name_H-M 'R -3'
_symmetry_Int_Tables_number 148
_symmetry_space_group_name_Hall '-R 3'
_cell_length_a 5.0060
_cell_length_b 5.0060
_cell_length_c 16.5949
_cell_angle_alpha 90.00
_cell_angle_beta 90.00
_cell_angle_gamma 120.00
loop_
_atom_site_label
_atom_site_type_symbol
_atom_site_fract_x
_atom_site_fract_y
_atom_site_fract_z
Hg1 Hg 0.0000 0.0000 0.0000
Pd1 Pd 0.0000 0.0000 0.5000
C1 C 0.0000 0.0000 0.2457
O1 O 0.0147 0.2665 0.2462
```

=====

12.
This entry pairs a crystal structure of TmHgC2O6 with its simulated X-ray diffraction stick pattern. Radiation: copper Kα. Structure: a cell relaxed with GGA-PBE.
Lines closer than 0.1° are merged.

Largest 10 diffraction maxima, in order of rising 2θ, 10° ≤ 2θ ≤ 90°:
d_spacing	2θ/deg	I/Imax	hkl
4.027	22.07	56	2 0 0
3.765	23.63	79	0 2 1
3.252	27.43	59	0 0 2
3.232	27.60	30	2 0 -2
3.131	28.50	100	2 2 -1
2.481	36.20	40	2 2 1
2.082	43.46	30	2 2 -3
2.003	45.28	17	2 4 0
1.974	45.98	22	4 2 -1
1.962	46.26	22	0 2 3

Structure:
```
data_TmHgC2O6
_chemical_formula_sum 'Tm4 Hg4 C8 O24'
_symmetry_space_group_name_H-M 'C 1 2/c 1'
_symmetry_Int_Tables_number 15
_cell_length_a 8.7712
_cell_length_b 9.2333
_cell_length_c 7.0828
_cell_angle_alpha 90.00
_cell_angle_beta 113.32
_cell_angle_gamma 90.00
loop_
_symmetry_equiv_pos_as_xyz
'x,y,z'
'-x,-y,-z'
'-x,y,-z+1/2'
'x,-y,z+1/2'
'x+1/2,y+1/2,z'
'-x+1/2,-y+1/2,-z'
'-x+1/2,y+1/2,-z+1/2'
'x+1/2,-y+1/2,z+1/2'
loop_
_atom_site_label
_atom_site_type_symbol
_atom_site_fract_x
_atom_site_fract_y
_atom_site_fract_z
Tm1 Tm 0.0000 0.0895 0.2500
Hg1 Hg 0.0000 0.3997 0.7500
C1 C 0.2317 0.1323 0.7526
O1 O 0.0838 0.1168 0.6024
O2 O 0.1696 0.2673 0.2448
O3 O 0.2356 0.4656 0.1033
```

=====

13.
This entry pairs a crystal structure of ZnHgOs2C with its simulated X-ray diffraction stick pattern. Radiation: copper Kα. Structure: a cell relaxed with GGA-PBE.
Lines closer than 0.1° are merged.

Largest 10 diffraction maxima, in order of rising 2θ, 10° ≤ 2θ ≤ 90°:
d_spacing	2θ/deg	I/Imax	hkl
5.098	17.40	66	1 0 0
4.770	18.60	100	0 0 1
2.876	31.10	32	1 1 1
2.549	35.21	76	2 0 0
2.385	37.72	31	0 0 2
2.248	40.11	60	2 0 1
1.802	50.65	27	2 2 0
1.742	52.55	49	2 0 2
1.686	54.42	25	2 2 1
1.438	64.84	26	2 2 2

Structure:
```
data_ZnHgOs2C
_chemical_formula_sum 'Zn1 Hg1 Os2 C1'
_symmetry_space_group_name_H-M 'P 4/m m m'
_symmetry_Int_Tables_number 123
_symmetry_space_group_name_Hall '-P 4 2'
_cell_length_a 5.0978
_cell_length_b 5.0978
_cell_length_c 4.7703
_cell_angle_alpha 90.00
_cell_angle_beta 90.00
_cell_angle_gamma 90.00
loop_
_atom_site_label
_atom_site_type_symbol
_atom_site_fract_x
_atom_site_fract_y
_atom_site_fract_z
Zn1 Zn 0.0000 0.0000 0.0000
Hg1 Hg 0.0000 0.0000 0.5000
Os1 Os 0.0000 0.5000 0.5000
C1 C 0.5000 0.5000 0.0000
```

=====

14.
This entry pairs a crystal structure of Pm4HgSbC with its simulated X-ray diffraction stick pattern. Radiation: copper Kα. Structure: a cell relaxed with GGA-PBE.
Lines closer than 0.1° are merged.

Largest 10 diffraction maxima, in order of rising 2θ, 10° ≤ 2θ ≤ 90°:
d_spacing	2θ/deg	I/Imax	hkl
3.525	25.26	21	2 0 0
3.223	27.68	65	2 2 0
2.650	33.82	23	0 6 0
2.638	33.99	100	2 4 0
2.493	36.03	63	2 0 2
1.816	50.25	30	2 6 2
1.763	51.87	22	4 0 0
1.546	59.80	15	4 2 2
1.468	63.37	15	4 6 0
1.466	63.48	33	4 4 2

Structure:
```
data_Pm4HgSbC
_chemical_formula_sum 'Pm16 Hg4 Sb4 C4'
_symmetry_space_group_name_H-M 'C m c m'
_symmetry_Int_Tables_number 63
_symmetry_space_group_name_Hall '-C 2c 2'
_cell_length_a 7.0548
_cell_length_b 15.9015
_cell_length_c 7.0467
_cell_angle_alpha 90.00
_cell_angle_beta 90.00
_cell_angle_gamma 90.00
loop_
_atom_site_label
_atom_site_type_symbol
_atom_site_fract_x
_atom_site_fract_y
_atom_site_fract_z
Pm1 Pm 0.0000 0.0830 0.2500
Pm2 Pm 0.0000 0.4113 0.2500
Pm3 Pm 0.2500 0.2500 0.0000
Hg1 Hg 0.0000 0.1153 0.7500
Sb1 Sb 0.0000 0.3879 0.7500
C1 C 0.0000 0.2503 0.2500
```